# 1
Computed PXRD pattern of Ac4Tl12Ag for Cu Ka, from a cell relaxed with GGA-PBE.
Intensities are scaled so that the largest is 100.

Unit cell a=10.124 b=10.124 c=10.124 alpha=90.00 beta=90.00 gamma=90.00
Space group Im-3m (No. 229)
Symmetry-distinct sites (fractional):
Ac  0.250  0.250  0.250 [8 per cell]
Tl  0.000  0.000  0.288 [12 per cell]
Tl  0.000  0.250  0.500 [12 per cell]
Ag  0.000  0.000  0.000 [2 per cell]

Largest 8 diffraction maxima, by angle, 10 to 80 degrees two-theta:
- 2θ 30.59, intensity 100.0, (2 2 2)
- 2θ 33.11, intensity 5.7, (3 2 1)
- 2θ 35.47, intensity 57.6, (4 0 0)
- 2θ 41.85, intensity 6.6, (3 3 2)
- 2θ 51.03, intensity 37.4, (4 4 0)
- 2θ 60.68, intensity 36.1, (6 2 2)
- 2θ 63.69, intensity 11.5, (4 4 4)
- 2θ 68.06, intensity 5.9, (6 3 3)



# 2
Computed PXRD pattern of TbPr3 for Cu Ka, from a cell relaxed with GGA-PBE.
Intensities are scaled so that the largest is 100.

Unit cell a=8.761 b=3.700 c=8.762 alpha=90.00 beta=94.07 gamma=90.00
Space group P2_1/m (No. 11)
Symmetry-distinct sites (fractional):
Tb  0.163  0.250  0.080 [2 per cell]
Pr  0.084  0.250  0.669 [2 per cell]
Pr  0.330  0.750  0.413 [2 per cell]
Pr  0.416  0.750  0.837 [2 per cell]

Largest 8 diffraction maxima, by angle, 10 to 80 degrees two-theta:
- 2θ 27.84, intensity 23.3, (2 0 -2)
- 2θ 29.93, intensity 25.7, (2 0 2)
- 2θ 31.68, intensity 100.0, (2 1 0)
- 2θ 41.33, intensity 16.1, (4 0 0)
- 2θ 49.24, intensity 19.5, (0 2 0)
- 2θ 54.25, intensity 21.7, (4 1 2)
- 2θ 58.70, intensity 22.9, (2 2 2)
- 2θ 59.75, intensity 16.3, (5 0 -3)



# 3
Computed PXRD pattern of CoNiPt14 for Cu Ka, from a cell relaxed with GGA-PBE.
Intensities are scaled so that the largest is 100.

Unit cell a=9.193 b=5.551 c=9.599 alpha=90.00 beta=90.00 gamma=90.00
Space group Amm2 (No. 38)
Symmetry-distinct sites (fractional):
Co  0.000  0.000  0.000 [2 per cell]
Ni  0.000  0.000  0.501 [2 per cell]
Pt  0.000  0.250  0.252 [4 per cell]
Pt  0.239  0.250  0.082 [8 per cell]
Pt  0.244  0.000  0.836 [4 per cell]
Pt  0.245  0.000  0.335 [4 per cell]
Pt  0.500  0.000  0.167 [2 per cell]
Pt  0.500  0.000  0.667 [2 per cell]
Pt  0.500  0.250  0.418 [4 per cell]

Largest 8 diffraction maxima, by angle, 10 to 80 degrees two-theta:
- 2θ 37.44, intensity 12.7, (0 0 4)
- 2θ 38.75, intensity 34.5, (1 0 4)
- 2θ 39.20, intensity 33.9, (4 0 0)
- 2θ 42.46, intensity 100.0, (2 2 2)
- 2θ 48.14, intensity 18.2, (3 0 4)
- 2θ 63.75, intensity 9.7, (5 0 4)
- 2θ 67.55, intensity 21.3, (0 4 0)
- 2θ 73.28, intensity 19.2, (6 2 2)